Starting from a GGA-PBE-relaxed structure, the XRD peak list of Y4Mg5Ni2 was simulated for CuKα.

Main lines, in order of rising 2θ (5 to 70 degrees two-theta):
2theta  I/Imax
9.21  57.3
11.19  100.0
14.05  33.6
32.92  40.5
33.74  45.6
33.90  44.6
34.02  22.3
34.93  19.4
35.60  20.5
37.81  45.5
38.15  36.5
40.07  19.3

Cell and atoms:
```
Y4Mg5Ni2
1.0
7.921 0.000 0.000
0.000 3.557 0.000
-0.609 0.000 9.604
Y Mg Ni
4 5 2
Cartesian
1.095 0.000 3.266
1.063 0.000 9.102
6.249 0.000 0.502
6.217 0.000 6.338
1.032 1.779 6.230
3.484 1.779 1.670
3.656 1.779 4.802
3.828 1.779 7.934
6.280 1.779 3.374
0.416 1.779 1.289
6.896 1.779 8.316
```

Starting from a GGA-PBE-relaxed structure, the XRD peak list of YMg6Ni was simulated for CuKα.

Main lines, in order of rising 2θ (5 to 70 degrees two-theta):
2theta  I/Imax
16.22  65.7
23.87  28.2
24.61  18.2
32.80  85.7
35.79  73.0
37.28  43.9
37.83  100.0
40.89  12.5
50.46  25.4
55.58  12.6
67.59  16.7
68.84  12.7

Cell and atoms:
```
YMg6Ni
1.0
4.824 0.000 0.000
0.000 3.087 5.875
0.000 -3.087 5.875
Y Mg Ni
1 6 1
Cartesian
0.000 0.000 0.000
0.000 -1.555 3.222
0.000 1.555 3.222
0.000 0.000 6.414
2.412 0.000 4.553
2.412 -1.530 7.504
2.412 1.530 7.504
2.412 0.000 9.939
```

Starting from a GGA-PBE-relaxed structure, the XRD peak list of Y3MgNi8 was simulated for CuKα.

Main lines, in order of rising 2θ (5 to 70 degrees two-theta):
2theta  I/Imax
20.75  3.8
21.66  5.2
27.34  3.8
35.74  42.3
42.16  100.0
42.23  34.1
44.02  11.5
44.19  37.1
51.44  4.2
64.26  10.8
68.60  21.5
68.70  14.2

Cell and atoms:
```
Y3MgNi8
1.0
2.509 1.449 8.227
-2.509 1.449 8.227
0.000 -2.897 8.227
Y Mg Ni
3 1 8
Cartesian
0.000 0.000 0.000
0.000 0.000 3.152
0.000 0.000 15.246
0.000 0.000 12.239
0.000 -1.460 5.597
-1.264 0.730 5.597
-1.247 -0.720 9.748
0.000 0.000 7.674
1.247 -0.720 9.748
0.000 1.440 9.748
1.264 0.730 5.597
0.000 0.000 20.026
```

Starting from a GGA-PBE-relaxed structure, the XRD peak list of YMg2Ni9 was simulated for CuKα.

Main lines, in order of rising 2θ (5 to 70 degrees two-theta):
2theta  I/Imax
11.25  23.9
21.44  23.4
26.00  14.0
36.98  17.4
37.22  13.6
38.77  8.8
43.14  28.0
43.67  18.1
43.78  100.0
46.17  31.2
47.28  30.2
51.18  20.8

Cell and atoms:
```
YMg2Ni9
1.0
2.431 1.404 7.865
-2.431 1.404 7.865
0.000 -2.807 7.865
Y Mg Ni
1 2 9
Cartesian
0.000 0.000 0.000
0.000 0.000 3.392
0.000 0.000 20.203
-1.225 -0.707 9.857
0.000 0.000 7.873
0.000 -1.415 13.738
-1.225 0.707 13.738
0.000 0.000 11.798
1.225 -0.707 9.857
0.000 1.415 9.857
0.000 0.000 15.723
1.225 0.707 13.738
```

Starting from a GGA-PBE-relaxed structure, the XRD peak list of Y2MgNi2 was simulated for CuKα.

Main lines, in order of rising 2θ (5 to 70 degrees two-theta):
2theta  I/Imax
17.07  23.3
24.24  7.3
34.01  24.2
36.20  100.0
38.77  24.0
44.48  8.5
48.06  12.8
51.30  12.5
52.89  6.9
57.15  10.3
63.38  10.6
69.87  7.1

Cell and atoms:
```
Y2MgNi2
1.0
7.345 0.000 0.000
0.000 7.345 0.000
0.000 0.000 3.787
Y Mg Ni
4 2 4
Cartesian
1.280 2.393 0.000
2.393 6.065 0.000
4.952 1.280 0.000
6.065 4.952 0.000
0.000 0.000 1.893
3.672 3.672 1.893
0.876 4.548 1.893
2.796 0.876 1.893
4.548 6.469 1.893
6.469 2.796 1.893
```

Starting from a GGA-PBE-relaxed structure, the XRD peak list of YMg14Ni was simulated for CuKα.

Main lines, in order of rising 2θ (5 to 70 degrees two-theta):
2theta  I/Imax
16.04  25.6
17.44  6.8
23.78  15.6
32.40  27.3
33.15  7.3
35.30  23.7
37.03  100.0
47.03  7.2
48.67  16.4
57.79  17.1
64.50  16.1
69.57  17.4

Cell and atoms:
```
YMg14Ni
1.0
6.381 0.000 0.000
-3.191 5.526 0.000
0.000 0.000 10.169
Y Mg Ni
1 14 1
Cartesian
0.000 0.000 0.000
-1.530 2.801 0.000
0.000 1.771 2.744
0.000 1.771 7.425
-1.657 4.641 2.744
-1.657 4.641 7.425
1.530 2.801 0.000
0.000 5.450 0.000
3.191 0.054 5.085
1.642 2.736 5.085
3.191 1.842 2.416
3.191 1.842 7.753
1.657 4.641 2.744
1.657 4.641 7.425
4.739 2.736 5.085
0.000 0.000 5.085
```

Starting from a GGA-PBE-relaxed structure, the XRD peak list of Mg11Zn9Ni4 was simulated for CuKα.

Main lines, in order of rising 2θ (5 to 70 degrees two-theta):
2theta  I/Imax
8.64  19.3
24.54  73.6
28.88  22.9
29.40  23.0
34.78  16.8
36.15  20.4
38.25  100.0
38.66  98.6
41.69  83.3
48.97  32.4
50.30  36.9
67.32  36.9

Cell and atoms:
```
Mg11Zn9Ni4
1.0
6.182 -9.114 0.000
6.182 9.114 0.000
0.000 0.000 3.628
Mg Zn Ni
11 9 4
Cartesian
0.000 0.000 0.000
3.059 3.065 0.000
6.182 6.078 0.000
3.723 0.000 0.000
6.182 2.402 0.000
3.059 -3.065 0.000
9.305 3.065 0.000
6.182 -2.402 0.000
8.642 0.000 0.000
6.182 -6.078 0.000
9.305 -3.065 0.000
1.814 1.354 1.814
4.812 4.308 1.814
1.814 -1.354 1.814
7.552 4.308 1.814
6.182 0.000 1.814
4.812 -4.308 1.814
10.550 1.354 1.814
7.552 -4.308 1.814
10.550 -1.354 1.814
4.396 1.744 1.814
4.396 -1.744 1.814
7.968 1.744 1.814
7.968 -1.744 1.814
```

Starting from a GGA-PBE-relaxed structure, the XRD peak list of MgZn2Ni5 was simulated for CuKα.

Main lines, in order of rising 2θ (5 to 70 degrees two-theta):
2theta  I/Imax
14.60  28.3
17.95  6.5
36.28  16.5
40.76  11.0
42.81  64.4
43.55  100.0
44.21  30.8
47.31  34.8
49.82  22.3
52.30  22.5
58.53  12.4
66.75  13.5

Cell and atoms:
```
MgZn2Ni5
1.0
-1.308 3.843 4.942
1.308 -3.843 4.942
1.308 3.843 -4.942
Mg Zn Ni
1 2 5
Cartesian
0.000 0.000 0.000
1.308 0.000 2.489
0.000 3.843 2.453
1.308 2.081 -1.252
1.308 2.081 1.252
0.000 3.843 0.000
0.000 1.762 3.690
0.000 1.762 6.194
```

Starting from a GGA-PBE-relaxed structure, the XRD peak list of MgZn2Ni3 was simulated for CuKα.

Main lines, in order of rising 2θ (5 to 70 degrees two-theta):
2theta  I/Imax
9.22  30.9
18.49  5.8
33.07  2.3
42.72  100.0
45.43  43.5
46.46  2.5
49.45  1.7
49.89  7.3
57.64  8.4
58.12  1.4
66.20  13.0
68.45  1.4

Cell and atoms:
```
MgZn2Ni3
1.0
2.823 0.000 0.000
0.000 2.823 0.000
0.000 0.000 9.595
Mg Zn Ni
1 2 3
Cartesian
0.000 0.000 0.000
0.000 0.000 3.264
0.000 0.000 6.331
1.412 1.412 1.772
1.412 1.412 4.797
1.412 1.412 7.823
```

Starting from a GGA-PBE-relaxed structure, the XRD peak list of Mg2Zn6Ni was simulated for CuKα.

Main lines, in order of rising 2θ (5 to 70 degrees two-theta):
2theta  I/Imax
13.79  38.8
24.23  29.0
32.62  22.0
32.80  62.6
40.47  31.6
40.93  62.0
41.05  76.4
42.21  100.0
47.35  18.2
47.73  55.7
52.40  15.7
61.47  19.9

Cell and atoms:
```
Mg2Zn6Ni
1.0
3.674 -6.614 0.000
3.674 6.614 0.000
0.000 0.000 3.017
Mg Zn Ni
2 6 1
Cartesian
3.674 4.225 0.000
3.674 -4.225 0.000
2.377 2.095 1.508
1.533 0.000 0.000
2.377 -2.095 1.508
4.971 2.095 1.508
5.815 0.000 0.000
4.971 -2.095 1.508
3.674 0.000 1.508
```

Starting from a GGA-PBE-relaxed structure, the XRD peak list of Mg8ZnNi4 was simulated for CuKα.

Main lines, in order of rising 2θ (5 to 70 degrees two-theta):
2theta  I/Imax
13.80  11.2
19.57  68.6
27.47  12.3
27.81  27.4
33.95  25.1
38.75  100.0
39.49  39.2
39.73  82.3
43.77  70.5
44.66  29.8
56.71  39.6
57.45  19.0

Cell and atoms:
```
Mg8ZnNi4
1.0
-4.537 4.537 2.706
4.537 -4.537 2.706
4.537 4.537 -2.706
Mg Zn Ni
8 1 4
Cartesian
2.009 0.000 0.000
7.065 0.000 0.000
4.537 1.667 0.000
0.000 2.009 0.000
1.667 4.537 0.000
2.870 0.000 2.706
0.000 7.065 0.000
0.000 2.870 2.706
0.000 0.000 2.706
2.269 2.269 -1.353
2.269 -2.269 1.353
-2.269 2.269 1.353
2.269 2.269 1.353
```

Starting from a GGA-PBE-relaxed structure, the XRD peak list of MgZn2Ni was simulated for CuKα.

Main lines, in order of rising 2θ (5 to 70 degrees two-theta):
2theta  I/Imax
14.21  33.2
28.64  2.0
29.11  4.1
32.53  3.6
41.29  100.0
41.63  54.0
44.20  7.8
53.24  12.0
59.29  5.9
60.34  16.9
61.82  1.7
62.33  2.6

Cell and atoms:
```
MgZn2Ni
1.0
3.068 0.000 0.000
0.000 3.068 0.000
0.000 0.000 6.234
Mg Zn Ni
1 2 1
Cartesian
0.000 0.000 0.000
0.000 0.000 2.817
1.534 1.534 4.353
1.534 1.534 1.571
```